# Pr2YSi4Au4
Simulated X-ray diffraction stick pattern, Cu Kα (λ = 1.5418 Å). Input: a crystal structure in OQMD, relaxed with GGA-PBE.
Intensities are scaled so that the largest is 100.

Unit cell a=12.9367 b=12.9367 c=12.9367 alpha=161.16 beta=160.87 gamma=26.97
Sites, in units of the cell vectors:
Pr 0.1473 0.1473 0.0000
Pr 0.8527 0.8527 0.0000
Y 0.5000 0.0000 0.5000
Si 0.0466 0.5466 0.5000
Si 0.3093 0.3093 0.0000
Si 0.6907 0.6907 0.0000
Si 0.9534 0.4534 0.5000
Au 0.2491 0.7491 0.5000
Au 0.4074 0.4074 0.0000
Au 0.5926 0.5926 0.0000
Au 0.7509 0.2509 0.5000

Main lines, in order of rising 2θ (2θ from 10° to 90°):
- 21.2°, I = 16
- 27.5°, I = 11
- 32.7°, I = 23
- 32.9°, I = 100
- 42.0°, I = 20
- 42.7°, I = 21
- 44.9°, I = 14
- 61.5°, I = 13
- 67.1°, I = 13
- 71.0°, I = 11